Record 1
Starting from a structure optimized by DFT (GGA-PBE), the X-ray diffraction stick pattern of PaZnSiGe was simulated for a wavelength of 1.5418 Å.

Structural model:
Cell lengths 4.012, 4.294, 4.391 Å; angles 90.00, 90.00, 90.00 degrees
Space group Pmmm (No. 47)
Inequivalent atoms, fractional coordinates:
Pa 0.000 0.000 0.000
Zn 0.000 0.500 0.500
Si 0.500 0.500 0.000
Ge 0.500 0.000 0.500

Main lines, low angle first (15 to 90 degrees two-theta):
index	2θ (°)	intensity
0 1 0	20.68	26
1 0 0	22.16	20
0 1 1	29.09	21
1 0 1	30.18	21
1 1 1	36.87	100
0 0 2	41.12	18
0 2 0	42.08	17
2 0 0	45.20	14
0 2 2	60.30	12
1 1 3	72.14	14
1 3 1	73.48	13
3 1 1	77.92	11

---

Record 2
Starting from a structure optimized by DFT (GGA-PBE), the X-ray diffraction stick pattern of SrSnHg was simulated for a wavelength of 1.5418 Å.

Structural model:
Cell lengths 4.9427, 4.9427, 4.3799 Å; angles 90.00, 90.00, 120.00 degrees
Space group P3m1 (No. 156)
Inequivalent atoms, fractional coordinates:
Sr 0.0000 0.0000 0.0000
Sn 0.6667 0.3333 0.4643
Hg 0.3333 0.6667 0.5561

Main lines, low angle first (15 to 90 degrees two-theta):
index	2θ (°)	intensity
0 0 1	20.28	28
1 0 0	20.75	16
1 0 1	29.17	100
1 1 0	36.35	68
0 0 2	41.22	12
1 1 1	41.98	27
1 0 2	46.59	12
0 2 1	47.27	27
1 1 2	56.11	30
2 1 1	61.06	25
3 0 0	65.41	13
1 0 3	67.82	11